For LiTi2P4H3O16, a structure optimized by DFT (PBE) gives the simulated PXRD pattern in this record (Cu Kα).

Structural model:
Cell lengths 5.0217, 7.4269, 8.0682 Å; angles 90.19, 92.35, 102.26 degrees
Space group P1 (No. 1)
Asymmetric unit:
1 Li 0.0000 0.0000 0.0000 (multiplicity 1)
2 Ti 0.1007 0.1554 0.3839 (multiplicity 1)
3 Ti 0.5915 0.6352 0.8806 (multiplicity 1)
4 P 0.2139 0.9032 0.7227 (multiplicity 1)
5 P 0.5032 0.9006 0.2110 (multiplicity 1)
6 P 0.7074 0.4000 0.5440 (multiplicity 1)
7 P 0.9952 0.3859 0.0318 (multiplicity 1)
8 H 0.0140 0.5793 0.4318 (multiplicity 1)
9 H 0.2028 0.7229 0.3294 (multiplicity 1)
10 H 0.5453 0.1249 0.8591 (multiplicity 1)
11 O 0.0737 0.3339 0.2129 (multiplicity 1)
12 O 0.1487 0.9660 0.5457 (multiplicity 1)
13 O 0.2636 0.4938 0.9527 (multiplicity 1)
14 O 0.2687 0.0060 0.2004 (multiplicity 1)
15 O 0.3432 0.0797 0.8321 (multiplicity 1)
16 O 0.3875 0.7134 0.3039 (multiplicity 1)
17 O 0.4110 0.7706 0.7146 (multiplicity 1)
18 O 0.4536 0.2973 0.4465 (multiplicity 1)
19 O 0.5984 0.8464 0.0432 (multiplicity 1)
20 O 0.6369 0.4554 0.7162 (multiplicity 1)
21 O 0.7529 0.0079 0.3111 (multiplicity 1)
22 O 0.8073 0.5269 0.0417 (multiplicity 1)
23 O 0.8255 0.5863 0.4501 (multiplicity 1)
24 O 0.8632 0.2123 0.9361 (multiplicity 1)
25 O 0.9331 0.2876 0.5466 (multiplicity 1)
26 O 0.9553 0.8167 0.8138 (multiplicity 1)

The 6 most intense peaks (2θ from 15° to 90°), sorted by position:
16.33°, rel. 54; 22.19°, rel. 42; 22.81°, rel. 41; 23.97°, rel. 100; 25.14°, rel. 41; 29.30°, rel. 53